The following is a calculated X-ray powder pattern of PaTaC2. It was derived from a cell relaxed with PBE, using Cu Kα.
Intensities are scaled so that the largest is 100.

Principal peaks in the range 2θ = 10–90°, by angle:
2θ 31.7, 2.819 Å, I 81.9; 2θ 34.7, 2.587 Å, I 100.0; 2θ 39.1, 2.302 Å, I 32.2; 2θ 51.3, 1.782 Å, I 11.9; 2θ 55.2, 1.664 Å, I 20.1; 2θ 58.5, 1.578 Å, I 14.8; 2θ 60.3, 1.536 Å, I 12.4; 2θ 64.5, 1.445 Å, I 13.1

Structure:
```
PaTaC2
1.0
5.8318 0.0000 0.0000
0.0000 3.3621 0.0000
0.0000 0.0000 11.2622
Pa Ta C
4 4 8
Cartesian
0.4859 0.8405 1.5843
2.4300 2.5216 7.2154
3.4018 0.8405 4.0468
5.3459 2.5216 9.6779
0.4981 2.5216 4.4527
2.4178 0.8405 10.0838
3.4140 2.5216 1.1784
5.3337 0.8405 6.8095
0.9444 0.8405 8.4964
1.4141 0.8405 5.5517
1.5018 2.5216 11.1828
1.9715 2.5216 2.8653
3.8603 0.8405 8.3969
4.3300 0.8405 0.0794
4.4177 2.5216 5.7105
4.8874 2.5216 2.7658
```

The following is a calculated X-ray powder pattern of SrIrN2O. It was derived from a cell relaxed with PBE, using Cu Kα.
Intensities are scaled so that the largest is 100.

Principal peaks in the range 2θ = 10–90°, by angle:
2θ 21.6, 4.107 Å, I 25.9; 2θ 30.8, 2.904 Å, I 50.4; 2θ 32.3, 2.773 Å, I 100.0; 2θ 34.5, 2.596 Å, I 16.4; 2θ 44.1, 2.053 Å, I 22.9; 2θ 48.4, 1.879 Å, I 11.9; 2θ 55.7, 1.650 Å, I 30.8; 2θ 58.5, 1.578 Å, I 18.4

Structure:
```
SrIrN2O
1.0
7.5171 0.0000 0.0000
0.0000 5.8036 0.0000
0.0000 0.0000 5.8126
Sr Ir N O
4 4 8 4
Cartesian
0.0000 1.1630 0.0000
0.0000 4.6406 2.9063
3.7586 1.2390 5.4700
3.7586 4.5647 2.5637
1.8988 1.7260 2.7636
1.8988 4.0776 5.6699
5.6183 1.7260 2.7636
5.6183 4.0776 5.6699
0.0000 1.8115 2.7106
0.0000 3.9921 5.6169
2.2675 2.6801 1.1125
2.2675 3.1235 4.0188
3.7586 1.2036 2.7603
3.7586 4.6000 5.6666
5.2496 2.6801 1.1125
5.2496 3.1235 4.0188
1.6644 0.2231 4.2733
1.6644 5.5805 1.3670
5.8527 0.2231 4.2733
5.8527 5.5805 1.3670
```

The following is a calculated X-ray powder pattern of TbI3O9. It was derived from a cell relaxed with PBE, using Cu Kα.
Intensities are scaled so that the largest is 100.

Principal peaks in the range 2θ = 10–90°, by angle:
2θ 24.9, 3.570 Å, I 16.5; 2θ 25.7, 3.470 Å, I 24.5; 2θ 26.9, 3.316 Å, I 25.5; 2θ 27.4, 3.255 Å, I 100.0; 2θ 29.6, 3.015 Å, I 55.5; 2θ 44.8, 2.022 Å, I 20.7; 2θ 51.2, 1.783 Å, I 19.1; 2θ 57.3, 1.608 Å, I 15.2

Structure:
```
TbI3O9
1.0
7.0512 0.0000 0.0000
0.0000 8.3253 0.0000
-2.3469 0.0000 13.0107
Tb I O
4 12 36
Cartesian
0.8979 2.0264 1.8913
-0.2756 2.1363 8.3966
4.9799 6.1890 4.6141
3.8064 6.2990 11.1194
0.9268 5.9633 1.4873
-0.2467 6.5247 7.9926
-0.1502 0.0986 11.5681
1.0233 4.0641 5.0627
0.3176 4.4599 11.2235
1.4910 8.0281 4.7182
3.2133 0.2972 8.2925
4.3867 3.8654 1.7872
3.6810 4.2612 7.9480
4.8545 8.2267 1.4426
4.9510 1.8006 5.0181
3.7775 2.3620 11.5235
-0.7857 4.3330 4.9920
-1.9591 8.1550 11.4973
-0.8792 1.4114 6.3143
-2.0527 2.7513 12.8197
-0.9061 5.7533 10.7357
0.2673 6.7346 4.2303
0.7072 4.4143 2.4471
-0.4662 8.0737 8.9525
-0.1976 1.7542 10.7544
0.9758 2.4085 4.2490
2.2196 0.5237 0.3330
1.0462 3.6390 6.8384
1.9351 0.2403 3.0223
0.7617 3.9223 9.5277
2.4736 5.5521 0.5973
1.3002 6.9359 7.1027
1.8285 1.4443 8.1339
3.0020 2.7183 1.6285
1.7023 5.6070 11.3822
2.8758 6.8810 4.8769
3.4041 1.3894 5.9080
2.2307 2.7732 12.4134
3.9426 4.4030 3.4830
2.7692 8.0850 9.9884
3.6581 4.6863 6.1723
2.4847 7.8017 12.6777
3.7285 5.9169 8.7617
4.9019 6.5711 2.2564
5.1705 0.2516 4.0583
3.9971 3.9110 10.5636
4.4370 1.5907 8.7804
5.6104 2.5720 2.2751
6.7570 5.5740 0.1910
5.5835 6.9139 6.6964
6.6634 0.1703 1.5134
5.4900 3.9923 8.0188
```

The following is a calculated X-ray powder pattern of Zn2GaSe2S. It was derived from a cell relaxed with PBE, using Cu Kα.
Intensities are scaled so that the largest is 100.

Principal peaks in the range 2θ = 10–90°, by angle:
2θ 26.7, 3.344 Å, I 34.9; 2θ 26.8, 3.331 Å, I 100.0; 2θ 44.3, 2.045 Å, I 48.6; 2θ 44.4, 2.039 Å, I 47.2; 2θ 52.5, 1.743 Å, I 23.4; 2θ 52.6, 1.739 Å, I 28.0; 2θ 64.6, 1.442 Å, I 9.3; 2θ 81.8, 1.177 Å, I 13.2

Structure:
```
Zn2GaSe2S
1.0
3.5347 -6.1097 0.0000
3.5347 6.1097 0.0000
-2.3759 0.0000 6.6877
Zn Ga Se S
4 2 4 2
Cartesian
2.3468 5.1783 3.3439
3.4980 3.1832 0.0774
2.3101 -3.1832 3.4212
3.5347 -5.1783 0.0000
2.4464 1.1102 3.3751
3.6344 -1.1102 0.0312
1.1156 3.1995 4.2635
2.3736 1.0558 0.7699
1.1857 -1.0558 4.1138
2.3035 -3.1995 0.9197
4.7912 0.9763 4.2887
5.9791 -0.9763 0.9449
```

The following is a calculated X-ray powder pattern of HfZrNi2Sn2. It was derived from a cell relaxed with PBE, using Cu Kα.
Intensities are scaled so that the largest is 100.

Principal peaks in the range 2θ = 10–90°, by angle:
2θ 25.2, 3.537 Å, I 11.2; 2θ 29.2, 3.063 Å, I 45.8; 2θ 41.7, 2.166 Å, I 100.0; 2θ 49.3, 1.847 Å, I 5.0; 2θ 51.7, 1.768 Å, I 13.0; 2θ 60.4, 1.531 Å, I 16.6; 2θ 68.5, 1.370 Å, I 17.5; 2θ 76.1, 1.250 Å, I 34.0

Structure:
```
HfZrNi2Sn2
1.0
8.6635 0.0000 0.0000
0.0000 4.3311 0.0000
-4.3304 0.0000 12.2524
Hf Zr Ni Sn
4 4 8 8
Cartesian
0.0000 0.0000 0.0000
-2.1643 2.1656 9.1892
0.0014 0.0000 6.1250
4.3327 0.0000 6.1276
2.1672 2.1656 3.0616
0.0025 0.0000 12.2522
2.1669 2.1656 9.1891
6.4979 2.1656 3.0642
0.0017 2.1656 1.5162
-2.1760 0.0000 10.7113
-0.0105 2.1656 7.6498
2.1659 0.0000 4.6122
4.3318 2.1656 1.5303
2.1799 0.0000 10.7262
4.3449 2.1656 7.6503
6.4995 0.0000 4.6128
-2.1649 2.1656 6.1324
0.0006 0.0000 3.0637
-2.1726 2.1656 12.2425
-0.0073 0.0000 9.1827
2.1673 2.1656 6.1299
4.3329 0.0000 3.0730
2.1764 2.1656 12.2518
4.3416 0.0000 9.1854
```

The following is a calculated X-ray powder pattern of PmMg. It was derived from a cell relaxed with PBE, using Cu Kα.
Intensities are scaled so that the largest is 100.

Principal peaks in the range 2θ = 10–90°, by angle:
2θ 24.3, 3.658 Å, I 26.6; 2θ 25.5, 3.488 Å, I 12.3; 2θ 27.2, 3.279 Å, I 28.6; 2θ 32.2, 2.779 Å, I 100.0; 2θ 34.1, 2.627 Å, I 46.5; 2θ 49.0, 1.858 Å, I 16.6; 2θ 56.2, 1.637 Å, I 15.8; 2θ 59.9, 1.544 Å, I 33.5

Structure:
```
PmMg
1.0
5.2544 0.0000 0.0000
0.0000 10.4625 2.6276
0.0000 -10.4625 2.6276
Pm Mg
5 5
Cartesian
0.0000 0.0000 0.0000
0.0000 -6.3981 2.6371
0.0000 6.3981 2.6371
2.6272 -3.9112 2.6433
2.6272 3.9112 2.6433
0.0000 -1.8821 2.6255
0.0000 1.8821 2.6255
2.6272 -8.5884 2.6514
2.6272 0.0000 2.6509
2.6272 8.5884 2.6514
```

The following is a calculated X-ray powder pattern of LaUNi. It was derived from a cell relaxed with PBE, using Cu Kα.
Intensities are scaled so that the largest is 100.

Principal peaks in the range 2θ = 10–90°, by angle:
2θ 23.2, 3.829 Å, I 15.8; 2θ 26.9, 3.316 Å, I 60.8; 2θ 38.4, 2.345 Å, I 100.0; 2θ 47.5, 1.915 Å, I 18.0; 2θ 55.4, 1.658 Å, I 17.3; 2θ 62.6, 1.483 Å, I 24.4; 2θ 69.4, 1.354 Å, I 35.5; 2θ 88.4, 1.105 Å, I 13.1

Structure:
```
LaUNi
1.0
0.0000 3.3162 3.3162
3.3162 0.0000 3.3162
3.3162 3.3162 0.0000
La U Ni
1 1 1
Cartesian
0.0000 0.0000 0.0000
3.3162 3.3162 3.3162
4.9744 4.9744 4.9744
```

The following is a calculated X-ray powder pattern of AcAgGe. It was derived from a cell relaxed with PBE, using Cu Kα.
Intensities are scaled so that the largest is 100.

Principal peaks in the range 2θ = 10–90°, by angle:
2θ 22.4, 3.975 Å, I 17.3; 2θ 30.3, 2.953 Å, I 100.0; 2θ 39.3, 2.295 Å, I 41.6; 2θ 40.9, 2.206 Å, I 12.4; 2θ 50.4, 1.812 Å, I 24.5; 2θ 58.0, 1.590 Å, I 26.5; 2θ 65.6, 1.422 Å, I 22.1; 2θ 68.0, 1.379 Å, I 10.0

Structure:
```
AcAgGe
1.0
4.5900 0.0000 0.0000
-2.2950 3.9751 0.0000
0.0000 0.0000 4.4120
Ac Ag Ge
1 1 1
Cartesian
0.0000 0.0000 0.0000
0.0000 2.6500 2.2017
2.2950 1.3250 2.2203
```

The following is a calculated X-ray powder pattern of GaIr15. It was derived from a cell relaxed with PBE, using Cu Kα.
Intensities are scaled so that the largest is 100.

Principal peaks in the range 2θ = 10–90°, by angle:
2θ 39.9, 2.257 Å, I 100.0; 2θ 41.2, 2.193 Å, I 65.1; 2θ 47.1, 1.928 Å, I 52.7; 2θ 47.3, 1.923 Å, I 21.8; 2θ 68.9, 1.364 Å, I 17.2; 2θ 69.0, 1.362 Å, I 25.3; 2θ 82.7, 1.167 Å, I 25.2; 2θ 83.5, 1.158 Å, I 17.5

Structure:
```
GaIr15
1.0
3.8572 0.0000 0.0000
0.0000 3.8570 0.0000
0.0000 0.0000 44.2372
Ga Ir
2 30
Cartesian
0.9643 0.0000 7.4449
2.8929 0.0000 36.7923
0.9643 0.0000 11.4396
0.9643 0.0000 15.3227
0.9643 0.0000 19.2036
0.9643 0.0000 23.0914
0.9643 0.0000 26.9706
0.9643 0.0000 30.8643
0.9643 0.0000 34.7231
0.9643 1.9285 9.5147
0.9643 1.9285 13.3729
0.9643 1.9285 17.2647
0.9643 1.9285 21.1502
0.9643 1.9285 25.0276
0.9643 1.9285 28.9145
0.9643 1.9285 32.8220
0.9643 1.9285 36.6151
2.8929 0.0000 9.5140
2.8929 0.0000 13.3729
2.8929 0.0000 17.2666
2.8929 0.0000 21.1458
2.8929 0.0000 25.0336
2.8929 0.0000 28.9144
2.8929 0.0000 32.7976
2.8929 1.9285 7.6221
2.8929 1.9285 11.4151
2.8929 1.9285 15.3227
2.8929 1.9285 19.2096
2.8929 1.9285 23.0870
2.8929 1.9285 26.9725
2.8929 1.9285 30.8643
2.8929 1.9285 34.7225
```

The following is a calculated X-ray powder pattern of Cu2Ag3. It was derived from a cell relaxed with PBE, using Cu Kα.
Intensities are scaled so that the largest is 100.

Principal peaks in the range 2θ = 10–90°, by angle:
2θ 39.4, 2.288 Å, I 100.0; 2θ 45.1, 2.009 Å, I 17.4; 2θ 45.7, 1.985 Å, I 17.6; 2θ 46.6, 1.951 Å, I 13.0; 2θ 66.2, 1.412 Å, I 10.3; 2θ 79.4, 1.207 Å, I 11.6; 2θ 80.2, 1.196 Å, I 11.3; 2θ 84.7, 1.144 Å, I 8.5

Structure:
```
Cu2Ag3
1.0
3.9704 0.0000 0.0000
0.0000 2.0092 9.7547
0.0000 -2.0092 9.7547
Cu Ag
4 6
Cartesian
0.0000 0.0000 19.5021
0.0000 0.0000 3.6232
0.0000 0.0000 11.4502
1.9852 0.0000 9.7547
0.0000 0.0000 7.8756
0.0000 0.0000 15.4387
1.9852 0.0000 1.7264
1.9852 0.0000 5.6754
1.9852 0.0000 13.3873
1.9852 0.0000 17.6254
```

The following is a calculated X-ray powder pattern of Dy2TmIn3Pt2Au. It was derived from a cell relaxed with PBE, using Cu Kα.
Intensities are scaled so that the largest is 100.

Principal peaks in the range 2θ = 10–90°, by angle:
2θ 33.0, 2.713 Å, I 80.0; 2θ 35.3, 2.545 Å, I 31.1; 2θ 35.7, 2.516 Å, I 100.0; 2θ 40.2, 2.245 Å, I 57.4; 2θ 42.8, 2.112 Å, I 36.2; 2θ 48.1, 1.893 Å, I 23.1; 2θ 64.4, 1.447 Å, I 28.7; 2θ 65.3, 1.430 Å, I 24.5

Structure:
```
Dy2TmIn3Pt2Au
1.0
3.7868 0.0000 0.0000
0.0000 6.7251 3.8927
0.0000 -6.7251 3.8927
Dy Tm In Pt Au
2 1 3 2 1
Cartesian
0.0000 -3.9840 3.8927
0.0000 3.9840 3.8927
0.0000 0.0000 4.7620
1.8934 -1.8086 2.6388
1.8934 1.8086 2.6388
1.8934 0.0000 7.2715
1.8934 -2.2227 5.4739
1.8934 2.2227 5.4739
0.0000 0.0000 1.5923
```

The following is a calculated X-ray powder pattern of SrHgTeO. It was derived from a cell relaxed with PBE, using Cu Kα.
Intensities are scaled so that the largest is 100.

Principal peaks in the range 2θ = 10–90°, by angle:
2θ 13.4, 6.595 Å, I 48.1; 2θ 24.8, 3.595 Å, I 34.4; 2θ 27.4, 3.251 Å, I 100.0; 2θ 31.4, 2.847 Å, I 48.2; 2θ 36.3, 2.472 Å, I 59.1; 2θ 41.9, 2.157 Å, I 65.5; 2θ 48.0, 1.895 Å, I 33.6; 2θ 50.8, 1.797 Å, I 19.1

Structure:
```
SrHgTeO
1.0
4.3142 0.0000 0.0000
-2.1571 3.7362 0.0000
0.0000 0.0000 13.1901
Sr Hg Te O
2 2 2 2
Cartesian
0.0000 2.4908 0.0000
2.1571 1.2454 6.5951
0.0000 0.0000 2.6561
0.0000 0.0000 9.2511
0.0000 2.4908 3.9924
2.1571 1.2454 10.5875
0.0000 0.0000 0.4314
0.0000 0.0000 7.0265
```